Starting from a structure optimized by DFT (PBE+U), the powder diffractogram of LiFeF4 was computed for Cu Kα, 1.54184 Å.

Principal peaks in the range 15 to 90 degrees two-theta, most intense first:
| Position (°2θ) | d_spacing | intensity | index |
| --- | --- | --- | --- |
| 21.03 | 4.225 | 1000 | 0 1 1 |
| 17.77 | 4.993 | 585 | 0 0 2 |
| 33.07 | 2.709 | 202 | 0 1 3 |
| 36.04 | 2.492 | 186 | 2 1 -1 |
| 39.36 | 2.289 | 176 | 2 1 -2 |
| 39.53 | 2.280 | 171 | 2 1 2 |
| 36.14 | 2.485 | 169 | 2 1 1 |
| 52.60 | 1.740 | 152 | 2 2 2 |
| 52.47 | 1.744 | 149 | 2 2 -2 |
| 53.80 | 1.704 | 144 | 0 2 4 |

Atomic structure:
```
data_LiFeF4
_cell_length_a 6.159
_cell_length_b 4.663
_cell_length_c 9.986
_cell_angle_alpha 90.00
_cell_angle_beta 90.35
_cell_angle_gamma 90.00
_space_group_name_H-M_alt 'P 1 c 1'
_space_group_IT_number 7
loop_
_space_group_symop_operation_xyz
'x,y,z'
'x,-y,z+1/2'
loop_
_atom_site_label
_atom_site_fract_x
_atom_site_fract_y
_atom_site_fract_z
_atom_site_occupancy
Li1 0.000 0.224 0.000 1
Li2 0.506 0.274 0.445 1
Fe1 0.253 0.251 0.723 1
Fe2 0.753 0.251 0.723 1
F1 0.002 0.486 0.650 1
F2 0.003 0.042 0.805 1
F3 0.243 0.027 0.565 1
F4 0.263 0.475 0.880 1
F5 0.502 0.460 0.640 1
F6 0.504 0.015 0.796 1
F7 0.747 0.472 0.881 1
F8 0.758 0.029 0.564 1
```